Ba3CaI8: calculated powder X-ray diffraction pattern (Cu Kα (λ = 1.5418 Å)), based on DFT lattice parameters and positions (PBE).

Principal peaks in the range 15 to 90 degrees two-theta, sorted by position:
two_theta  d [Å]  I/Imax
18.66  4.754  21
21.58  4.117  19
30.71  2.911  100
36.18  2.483  12
43.99  2.059  18
49.50  1.841  7
54.60  1.681  37
63.96  1.456  11
72.62  1.302  15
88.95  1.100  19

Cell and atoms:
```
data_Ba3CaI8
_cell_length_a 10.082
_cell_length_b 10.082
_cell_length_c 10.082
_cell_angle_alpha 131.78
_cell_angle_beta 131.78
_cell_angle_gamma 70.58
_space_group_name_H-M_alt 'P 1'
_space_group_IT_number 1
_space_group_name_Hall 'P 1'
loop_
_atom_site_label
_atom_site_type_symbol
_atom_site_fract_x
_atom_site_fract_y
_atom_site_fract_z
Ba1 Ba 0.000 0.000 0.000
Ba2 Ba 0.250 0.750 0.500
Ba3 Ba 0.750 0.250 0.500
Ca1 Ca 0.500 0.500 0.000
I1 I 0.137 0.137 0.517
I2 I 0.137 0.621 0.000
I3 I 0.379 0.379 0.517
I4 I 0.379 0.863 0.000
I5 I 0.621 0.137 0.000
I6 I 0.621 0.621 0.483
I7 I 0.863 0.379 0.000
I8 I 0.863 0.863 0.483
```